[1]
Pr2SF4: theoretical powder diffractogram (Cu Kα), based on a cell relaxed with GGA-PBE.
Intensities are scaled so that the largest is 100.

The 10 most intense peaks (2θ = 10–90°), most intense first:
2θ/deg  d_spacing  Rel. int.
28.23  3.161  100
23.88  3.726  73
44.78  2.024  72
34.03  2.635  37
35.23  2.547  24
50.50  1.807  20
45.95  1.975  18
52.43  1.745  18
26.75  3.333  17
58.39  1.580  16

Cell and atoms:
Unit cell a=7.4520 b=7.4520 c=3.9502 alpha=90.00 beta=90.00 gamma=90.00
Element x y z (fractional)
Pr  0.2193  0.2193  0.0000
Pr  0.2807  0.7193  0.5000
Pr  0.7193  0.2807  0.5000
Pr  0.7807  0.7807  0.0000
S  0.0000  0.0000  0.5000
S  0.5000  0.5000  0.0000
F  0.0883  0.6689  0.0000
F  0.1689  0.4117  0.5000
F  0.3311  0.9117  0.0000
F  0.4117  0.1689  0.5000
F  0.5883  0.8311  0.5000
F  0.6689  0.0883  0.0000
F  0.8311  0.5883  0.5000
F  0.9117  0.3311  0.0000

***

[2]
Ho5Tm5Bi6: theoretical powder diffractogram (Cu Kα), based on a cell relaxed with GGA-PBE.
Intensities are scaled so that the largest is 100.

The 10 most intense peaks (2θ = 10–90°), most intense first:
2θ/deg  d_spacing  Rel. int.
33.23  2.696  100
34.55  2.596  72
34.11  2.629  47
29.98  2.981  24
28.25  3.160  22
53.23  1.721  22
49.34  1.847  18
43.80  2.067  16
66.26  1.410  13
69.41  1.354  12

Cell and atoms:
Unit cell a=6.3191 b=9.1113 c=9.1113 alpha=120.12 beta=90.00 gamma=90.00
Element x y z (fractional)
Ho  0.0000  0.0000  0.0000
Ho  0.2499  0.5757  0.9084
Ho  0.2499  0.9084  0.5757
Ho  0.7501  0.5757  0.9084
Ho  0.7501  0.9084  0.5757
Tm  0.0000  0.2415  0.4836
Tm  0.0000  0.4836  0.2415
Tm  0.5000  0.9998  0.2420
Tm  0.5000  0.2420  0.9998
Tm  0.5000  0.4820  0.4820
Bi  0.0000  0.2427  0.8527
Bi  0.0000  0.6296  0.6296
Bi  0.0000  0.8527  0.2427
Bi  0.5000  0.2418  0.6307
Bi  0.5000  0.6307  0.2418
Bi  0.5000  0.8529  0.8529

***

[3]
LiNd2NpO6: theoretical powder diffractogram (Cu Kα), based on a cell relaxed with GGA-PBE.
Intensities are scaled so that the largest is 100.

The 10 most intense peaks (2θ = 10–90°), most intense first:
2θ/deg  d_spacing  Rel. int.
30.35  2.945  100
29.87  2.991  99
18.40  4.822  74
43.10  2.099  45
53.62  1.709  44
35.52  2.528  35
53.91  1.701  30
18.02  4.923  30
48.18  1.889  25
71.39  1.321  16

Cell and atoms:
Unit cell a=5.9838 b=5.9838 c=5.9838 alpha=58.98 beta=58.98 gamma=58.98
Element x y z (fractional)
Li  0.0000  0.0000  0.0000
Nd  0.2727  0.2727  0.2727
Nd  0.7778  0.7778  0.7778
Np  0.4945  0.4945  0.4945
O  0.1370  0.6947  0.3728
O  0.2167  0.6200  0.8517
O  0.3728  0.1370  0.6947
O  0.6200  0.8517  0.2167
O  0.6947  0.3728  0.1370
O  0.8517  0.2167  0.6200

***

[4]
KLiGe: theoretical powder diffractogram (Cu Kα), based on a cell relaxed with GGA-PBE.
Intensities are scaled so that the largest is 100.

The 10 most intense peaks (2θ = 10–90°), most intense first:
2θ/deg  d_spacing  Rel. int.
22.72  3.913  100
39.61  2.275  59
25.09  3.550  58
24.77  3.594  35
37.16  2.419  29
26.13  3.411  23
40.47  2.229  22
35.39  2.536  17
37.76  2.383  15
46.16  1.967  15

Cell and atoms:
Unit cell a=7.8836 b=4.5501 c=11.5080 alpha=90.00 beta=104.42 gamma=90.00
Element x y z (fractional)
K  0.2230  0.0000  0.1975
K  0.2770  0.5000  0.8025
K  0.7230  0.5000  0.1975
K  0.7770  0.0000  0.8025
Li  0.1575  0.5000  0.4764
Li  0.3425  0.0000  0.5236
Li  0.6575  0.0000  0.4764
Li  0.8425  0.5000  0.5236
Ge  0.0389  0.0000  0.6063
Ge  0.4611  0.5000  0.3937
Ge  0.5389  0.5000  0.6063
Ge  0.9611  0.0000  0.3937

***

[5]
Pm3NpBr2O6: theoretical powder diffractogram (Cu Kα), based on a cell relaxed with GGA-PBE.
Intensities are scaled so that the largest is 100.

The 10 most intense peaks (2θ = 10–90°), most intense first:
2θ/deg  d_spacing  Rel. int.
22.75  3.908  100
29.53  3.025  57
32.19  2.781  54
20.36  4.362  52
15.67  5.654  43
46.47  1.954  42
29.76  3.002  42
41.40  2.181  40
27.39  3.257  34
31.65  2.827  30

Cell and atoms:
Unit cell a=7.1016 b=7.1016 c=5.7975 alpha=101.13 beta=101.13 gamma=58.28
Element x y z (fractional)
Pm  0.0000  0.0000  0.0000
Pm  0.0000  0.5000  0.5000
Pm  0.5000  0.0000  0.5000
Np  0.5000  0.5000  0.5000
Br  0.2112  0.2112  0.8691
Br  0.7888  0.7888  0.1309
O  0.1923  0.6835  0.7012
O  0.3165  0.8077  0.2988
O  0.3316  0.3316  0.3467
O  0.6684  0.6684  0.6533
O  0.6835  0.1923  0.7012
O  0.8077  0.3165  0.2988

***

[6]
Ag2H3Br6: theoretical powder diffractogram (Cu Kα), based on a cell relaxed with GGA-PBE.
Intensities are scaled so that the largest is 100.

The 10 most intense peaks (2θ = 10–90°), most intense first:
2θ/deg  d_spacing  Rel. int.
12.57  7.044  100
14.26  6.212  98
28.58  3.124  91
23.78  3.742  87
22.61  3.933  72
24.57  3.623  70
16.45  5.387  59
23.37  3.806  57
39.43  2.285  51
32.68  2.740  49

Cell and atoms:
Unit cell a=7.1613 b=8.5889 c=11.8409 alpha=78.37 beta=79.63 gamma=87.63
Element x y z (fractional)
Ag  0.0039  0.3549  0.3949
Ag  0.2542  0.8946  0.0358
Ag  0.7458  0.1054  0.9642
Ag  0.9961  0.6451  0.6051
H  0.0598  0.7705  0.2900
H  0.2146  0.6185  0.8358
H  0.3303  0.1337  0.2666
H  0.6697  0.8663  0.7334
H  0.7854  0.3815  0.1642
H  0.9402  0.2295  0.7100
Br  0.0476  0.0845  0.8083
Br  0.1007  0.6310  0.0057
Br  0.1831  0.6427  0.3738
Br  0.2556  0.1128  0.3954
Br  0.3004  0.6011  0.7121
Br  0.4156  0.1611  0.0794
Br  0.5844  0.8389  0.9206
Br  0.6996  0.3989  0.2879
Br  0.7444  0.8872  0.6046
Br  0.8169  0.3573  0.6262
Br  0.8993  0.3690  0.9943
Br  0.9524  0.9155  0.1917

***

[7]
Tb5Zn2Pd: theoretical powder diffractogram (Cu Kα), based on a cell relaxed with GGA-PBE.
Intensities are scaled so that the largest is 100.

The 10 most intense peaks (2θ = 10–90°), most intense first:
2θ/deg  d_spacing  Rel. int.
32.62  2.745  100
33.86  2.648  44
39.35  2.290  40
28.86  3.093  21
34.66  2.588  19
55.23  1.663  17
59.13  1.562  15
35.05  2.560  14
28.15  3.170  14
53.43  1.715  12

Cell and atoms:
Unit cell a=9.3004 b=9.3004 c=9.3004 alpha=134.18 beta=134.18 gamma=66.80
Element x y z (fractional)
Tb  0.0000  0.0000  0.0000
Tb  0.0182  0.5182  0.8411
Tb  0.1771  0.0182  0.5000
Tb  0.3229  0.8229  0.8411
Tb  0.4818  0.3229  0.5000
Tb  0.5000  0.5000  0.0000
Tb  0.5182  0.6771  0.5000
Tb  0.6771  0.1771  0.1589
Tb  0.8229  0.9818  0.5000
Tb  0.9818  0.4818  0.1589
Zn  0.1213  0.3787  0.5000
Zn  0.3787  0.8787  0.2573
Zn  0.6213  0.1213  0.7427
Zn  0.8787  0.6213  0.5000
Pd  0.2500  0.2500  0.0000
Pd  0.7500  0.7500  0.0000

***

[8]
LaYTi2O6: theoretical powder diffractogram (Cu Kα), based on a cell relaxed with GGA-PBE.
Intensities are scaled so that the largest is 100.

The 10 most intense peaks (2θ = 10–90°), most intense first:
2θ/deg  d_spacing  Rel. int.
32.20  2.780  100
32.75  2.734  24
58.12  1.587  23
45.93  1.976  23
25.25  3.527  22
52.16  1.754  20
31.29  2.859  20
46.44  1.955  16
22.50  3.952  14
47.46  1.916  12

Cell and atoms:
Unit cell a=7.8214 b=5.4684 c=5.7172 alpha=90.00 beta=90.00 gamma=90.00
Element x y z (fractional)
La  0.0000  0.2361  0.0000
La  0.0000  0.7639  0.5000
Y  0.5000  0.2659  0.1234
Y  0.5000  0.7341  0.6234
Ti  0.2561  0.2480  0.5558
Ti  0.2561  0.7520  0.0558
Ti  0.7439  0.2480  0.5558
Ti  0.7439  0.7520  0.0558
O  0.0000  0.3300  0.5732
O  0.0000  0.6700  0.0732
O  0.2105  0.0542  0.2559
O  0.2105  0.9458  0.7559
O  0.3096  0.4487  0.8529
O  0.3096  0.5513  0.3529
O  0.5000  0.1337  0.5127
O  0.5000  0.8663  0.0127
O  0.6904  0.4487  0.8529
O  0.6904  0.5513  0.3529
O  0.7895  0.0542  0.2559
O  0.7895  0.9458  0.7559

***

[9]
NaInO2: theoretical powder diffractogram (Cu Kα), based on a cell relaxed with GGA-PBE.
Intensities are scaled so that the largest is 100.

The 10 most intense peaks (2θ = 10–90°), most intense first:
2θ/deg  d_spacing  Rel. int.
35.43  2.534  100
15.73  5.635  80
45.37  1.999  44
31.54  2.837  33
58.98  1.566  26
56.16  1.638  23
31.76  2.817  18
58.70  1.573  14
68.17  1.376  14
65.97  1.416  14

Cell and atoms:
Unit cell a=3.2758 b=3.2758 c=11.2693 alpha=90.00 beta=90.00 gamma=120.00
Element x y z (fractional)
Na  0.3333  0.6667  0.2500
Na  0.6667  0.3333  0.7500
In  0.0000  0.0000  0.0000
In  0.0000  0.0000  0.5000
O  0.3333  0.6667  0.6056
O  0.3333  0.6667  0.8944
O  0.6667  0.3333  0.1056
O  0.6667  0.3333  0.3944

***

[10]
Ho3OsI3: theoretical powder diffractogram (Cu Kα), based on a cell relaxed with GGA-PBE.
Intensities are scaled so that the largest is 100.

The 10 most intense peaks (2θ = 10–90°), most intense first:
2θ/deg  d_spacing  Rel. int.
10.03  8.815  100
29.12  3.067  99
29.01  3.078  51
40.60  2.222  46
42.34  2.134  40
30.35  2.945  27
37.36  2.407  24
41.14  2.194  22
11.97  7.393  22
32.03  2.794  20

Cell and atoms:
Unit cell a=8.8328 b=4.2692 c=12.3386 alpha=90.00 beta=93.63 gamma=90.00
Element x y z (fractional)
Ho  0.0940  0.2500  0.3092
Ho  0.1424  0.2500  0.8716
Ho  0.2478  0.7500  0.0998
Ho  0.7522  0.2500  0.9002
Ho  0.8576  0.7500  0.1284
Ho  0.9060  0.7500  0.6908
Os  0.0442  0.2500  0.0872
Os  0.9558  0.7500  0.9128
I  0.1411  0.2500  0.6083
I  0.3449  0.7500  0.3595
I  0.4312  0.7500  0.8673
I  0.5688  0.2500  0.1327
I  0.6551  0.2500  0.6405
I  0.8589  0.7500  0.3917

***

[11]
Sc5NiPd: theoretical powder diffractogram (Cu Kα), based on a cell relaxed with GGA-PBE.
Intensities are scaled so that the largest is 100.

The 10 most intense peaks (2θ = 10–90°), most intense first:
2θ/deg  d_spacing  Rel. int.
34.04  2.634  100
35.94  2.499  91
18.31  4.845  68
22.76  3.908  61
30.36  2.944  60
51.59  1.772  42
34.33  2.612  39
50.32  1.813  32
42.57  2.124  31
39.15  2.301  28

Cell and atoms:
Unit cell a=6.1387 b=6.1387 c=10.0260 alpha=109.90 beta=109.90 gamma=61.48
Element x y z (fractional)
Sc  0.0239  0.9761  0.7500
Sc  0.0486  0.4057  0.6456
Sc  0.2235  0.5427  0.9838
Sc  0.4057  0.0486  0.1456
Sc  0.4573  0.7765  0.5162
Sc  0.5427  0.2235  0.4838
Sc  0.5943  0.9514  0.8544
Sc  0.7765  0.4573  0.0162
Sc  0.9514  0.5943  0.3544
Sc  0.9761  0.0239  0.2500
Ni  0.0000  0.0000  0.0000
Ni  0.0000  0.0000  0.5000
Pd  0.4836  0.5164  0.7500
Pd  0.5164  0.4836  0.2500

***

[12]
TiTcIr: theoretical powder diffractogram (Cu Kα), based on a cell relaxed with GGA-PBE.
Intensities are scaled so that the largest is 100.

The 10 most intense peaks (2θ = 10–90°), most intense first:
2θ/deg  d_spacing  Rel. int.
41.23  2.190  100
40.90  2.206  84
40.74  2.215  52
23.81  3.737  39
42.34  2.135  38
60.21  1.537  33
23.01  3.866  21
84.00  1.152  21
58.73  1.572  19
74.05  1.280  18

Cell and atoms:
Unit cell a=4.2694 b=5.4039 c=7.7313 alpha=90.00 beta=90.00 gamma=90.00
Element x y z (fractional)
Ti  0.0000  0.0000  0.1702
Ti  0.0000  0.0000  0.8298
Ti  0.5000  0.5000  0.3298
Ti  0.5000  0.5000  0.6702
Tc  0.0000  0.5000  0.1658
Tc  0.0000  0.5000  0.8342
Tc  0.5000  0.0000  0.3342
Tc  0.5000  0.0000  0.6658
Ir  0.0000  0.2469  0.5000
Ir  0.0000  0.7531  0.5000
Ir  0.5000  0.2531  0.0000
Ir  0.5000  0.7469  0.0000

***

Q: Number 2 is which compound?
A: Ho5Tm5Bi6